Diffraction record for KDySeI. The PXRD pattern is calculated, not measured: it uses a cell relaxed with PBE and a wavelength of 1.5418 Å.

Atomic structure:
```
data_KDySeI
_chemical_formula_sum 'K1 Dy1 Se1 I1'
_cell_length_a 8.689
_cell_length_b 8.689
_cell_length_c 8.689
_cell_angle_alpha 28.20
_cell_angle_beta 28.20
_cell_angle_gamma 28.20
_space_group_name_H-M_alt 'P 1'
_space_group_IT_number 1
loop_
_space_group_symop_operation_xyz
'x,y,z'
loop_
_atom_site_label
_atom_site_fract_x
_atom_site_fract_y
_atom_site_fract_z
_atom_site_occupancy
K1 0.000 0.000 0.000 1
Dy1 0.192 0.192 0.192 1
Se1 0.585 0.585 0.585 1
I1 0.777 0.777 0.777 1
```

Most intense lines, 10° ≤ 2θ ≤ 90°, most intense first:
d [Å], 2θ (°), I_rel
2.957, 30.22, 1000
8.338, 10.61, 632
3.518, 25.32, 434
2.116, 42.72, 406
2.066, 43.81, 295
2.559, 35.07, 263
1.721, 53.22, 199
1.335, 70.53, 169
2.051, 44.15, 126
1.485, 62.54, 120
3.163, 28.22, 105
1.212, 79.00, 103